# TbGaPd3
Calculated PXRD pattern, CuKα. Input: DFT lattice parameters and positions (PBE).
Peak positions follow from Bragg's law for the DFT cell and can differ from measured ones.

Atomic structure:
Cell lengths 6.2548, 6.2548, 6.2548 Å; angles 65.58, 65.58, 65.58 degrees
Element x y z (fractional)
1 Tb 0.0000 0.0000 0.0000
2 Tb 0.5000 0.5000 0.5000
3 Ga 0.2947 0.2947 0.2947
4 Ga 0.7947 0.7947 0.7947
5 Pd 0.0960 0.9650 0.4399
6 Pd 0.4399 0.0960 0.9650
7 Pd 0.4650 0.5960 0.9399
8 Pd 0.5960 0.9399 0.4650
9 Pd 0.9399 0.4650 0.5960
10 Pd 0.9650 0.4399 0.0960

Largest 12 diffraction maxima, in order of falling intensity, 5° ≤ 2θ ≤ 70°:
| d [Å] | Position (°2θ) | I/Imax |
| --- | --- | --- |
| 2.289 | 39.4 | 100.0 |
| 2.723 | 32.9 | 95.6 |
| 2.440 | 36.8 | 57.6 |
| 2.783 | 32.2 | 47.3 |
| 1.897 | 48.0 | 38.6 |
| 3.388 | 26.3 | 31.7 |
| 2.193 | 41.2 | 30.3 |
| 2.122 | 42.6 | 28.0 |
| 1.956 | 46.4 | 23.8 |
| 1.553 | 59.5 | 18.7 |
| 1.694 | 54.1 | 18.6 |
| 1.768 | 51.7 | 15.4 |